No. 1
The following is a computed XRD peak list of Ir8OsRu6. It was derived from DFT lattice parameters and positions (GGA-PBE), using Cu Kα X-rays.

The 12 most intense peaks (2θ from 10° to 90°), sorted by position:
10.34 deg, I 26
31.37 deg, I 23
36.38 deg, I 30
37.92 deg, I 100
39.19 deg, I 99
43.42 deg, I 97
46.06 deg, I 26
46.26 deg, I 33
48.78 deg, I 41
57.90 deg, I 26
60.07 deg, I 23
76.17 deg, I 24

Atomic structure:
abc: 9.878 9.878 2.726
angles: 90.00 90.00 120.00
Positions (direct):
1 Ir 0.075 0.789 0.250
2 Ir 0.211 0.285 0.250
3 Ir 0.285 0.075 0.750
4 Ir 0.333 0.667 0.750
5 Ir 0.667 0.333 0.250
6 Ir 0.715 0.925 0.250
7 Ir 0.789 0.715 0.750
8 Ir 0.925 0.211 0.750
9 Os 0.000 0.000 0.000
10 Ru 0.091 0.472 0.252
11 Ru 0.381 0.909 0.252
12 Ru 0.472 0.381 0.748
13 Ru 0.528 0.619 0.252
14 Ru 0.619 0.091 0.748
15 Ru 0.909 0.528 0.748


No. 2
The following is a computed XRD peak list of IrOs2Ru5. It was derived from DFT lattice parameters and positions (GGA-PBE), using Cu Kα X-rays.

The 12 most intense peaks (2θ from 10° to 90°), sorted by position:
18.69 deg, I 3
21.36 deg, I 3
27.92 deg, I 6
37.90 deg, I 25
41.82 deg, I 25
43.50 deg, I 100
57.71 deg, I 15
68.46 deg, I 17
77.54 deg, I 18
81.02 deg, I 3
83.55 deg, I 20
84.70 deg, I 15

Atomic structure:
abc: 6.419 5.482 5.116
angles: 74.47 55.37 50.16
Positions (direct):
1 Ir 0.000 0.000 0.000
2 Os 0.417 0.916 0.084
3 Os 0.916 0.417 0.583
4 Ru 0.001 0.502 0.999
5 Ru 0.418 0.418 0.082
6 Ru 0.500 0.500 0.500
7 Ru 0.502 0.001 0.498
8 Ru 0.918 0.918 0.582


No. 3
The following is a computed XRD peak list of Ir5Os5Ru2. It was derived from DFT lattice parameters and positions (GGA-PBE), using Cu Kα X-rays.

The 12 most intense peaks (2θ from 10° to 90°), sorted by position:
19.94 deg, I 1
22.00 deg, I 1
23.95 deg, I 1
27.45 deg, I 1
32.11 deg, I 1
38.73 deg, I 1
40.53 deg, I 100
47.15 deg, I 49
68.89 deg, I 32
83.06 deg, I 26
83.15 deg, I 13
87.69 deg, I 12

Atomic structure:
abc: 4.721 4.721 9.044
angles: 84.98 79.88 60.02
Positions (direct):
1 Ir 0.000 0.000 0.000
2 Ir 0.084 0.334 0.751
3 Ir 0.167 0.669 0.500
4 Ir 0.833 0.331 0.500
5 Ir 0.916 0.666 0.249
6 Os 0.257 0.999 0.247
7 Os 0.336 0.331 0.999
8 Os 0.500 0.000 0.500
9 Os 0.664 0.669 0.001
10 Os 0.743 0.001 0.753
11 Ru 0.420 0.665 0.750
12 Ru 0.580 0.335 0.250


No. 4
The following is a computed XRD peak list of IrOs3Ru3. It was derived from DFT lattice parameters and positions (GGA-PBE), using Cu Kα X-rays.

The 12 most intense peaks (2θ from 10° to 90°), sorted by position:
19.68 deg, I 37
30.06 deg, I 25
37.87 deg, I 45
39.48 deg, I 45
39.98 deg, I 100
45.38 deg, I 19
45.91 deg, I 55
46.35 deg, I 42
50.41 deg, I 18
61.69 deg, I 12
66.54 deg, I 20
85.88 deg, I 14

Atomic structure:
abc: 4.983 4.983 4.983
angles: 105.00 105.00 105.00
Positions (direct):
1 Ir 0.000 0.000 0.000
2 Os 0.449 0.890 0.890
3 Os 0.890 0.449 0.890
4 Os 0.890 0.890 0.449
5 Ru 0.075 0.443 0.443
6 Ru 0.443 0.075 0.443
7 Ru 0.443 0.443 0.075


No. 5
The following is a computed XRD peak list of Ir4Os2Ru3. It was derived from DFT lattice parameters and positions (GGA-PBE), using Cu Kα X-rays.

The 12 most intense peaks (2θ from 10° to 90°), sorted by position:
16.18 deg, I 1
24.49 deg, I 4
25.73 deg, I 2
30.09 deg, I 1
37.43 deg, I 1
40.59 deg, I 100
45.87 deg, I 1
47.22 deg, I 49
69.00 deg, I 31
83.19 deg, I 26
83.32 deg, I 13
87.85 deg, I 11

Atomic structure:
abc: 6.089 6.089 6.082
angles: 107.50 107.50 36.89
Positions (direct):
1 Ir 0.053 0.053 0.329
2 Ir 0.278 0.278 0.670
3 Ir 0.722 0.722 0.330
4 Ir 0.947 0.947 0.671
5 Os 0.168 0.168 0.000
6 Os 0.832 0.832 0.000
7 Ru 0.389 0.389 0.329
8 Ru 0.500 0.500 0.000
9 Ru 0.611 0.611 0.671


No. 6
The following is a computed XRD peak list of Ir12Os3Ru4. It was derived from DFT lattice parameters and positions (GGA-PBE), using Cu Kα X-rays.

The 12 most intense peaks (2θ from 10° to 90°), sorted by position:
13.51 deg, I 100
23.52 deg, I 14
30.51 deg, I 10
36.27 deg, I 36
38.87 deg, I 23
41.34 deg, I 17
43.68 deg, I 47
48.10 deg, I 49
50.20 deg, I 23
61.71 deg, I 10
73.73 deg, I 10
77.01 deg, I 25

Atomic structure:
abc: 8.025 8.025 8.025
angles: 109.47 109.47 109.47
Positions (direct):
1 Ir 0.097 0.362 0.735
2 Ir 0.265 0.627 0.362
3 Ir 0.265 0.903 0.638
4 Ir 0.362 0.265 0.627
5 Ir 0.362 0.735 0.097
6 Ir 0.373 0.638 0.735
7 Ir 0.627 0.362 0.265
8 Ir 0.638 0.265 0.903
9 Ir 0.638 0.735 0.373
10 Ir 0.735 0.097 0.362
11 Ir 0.735 0.373 0.638
12 Ir 0.903 0.638 0.265
13 Os 0.000 0.500 0.500
14 Os 0.500 0.000 0.500
15 Os 0.500 0.500 0.000
16 Ru 0.000 0.000 0.500
17 Ru 0.000 0.500 0.000
18 Ru 0.500 0.000 0.000
19 Ru 0.500 0.500 0.500